This entry pairs a crystal structure of Li4Fe5NiP6O24 with its simulated powder diffractogram. Radiation: λ = 1.5418 Å (Cu Kα). Structure: a DFT-relaxed cell (PBE+U, the Materials Project).

Structure:
```
data_Li4Fe5NiP6O24
_chemical_formula_sum 'Li4 Fe5 Ni1 P6 O24'
_symmetry_space_group_name_H-M 'P 1'
_symmetry_Int_Tables_number 1
_cell_length_a 8.355
_cell_length_b 8.440
_cell_length_c 8.468
_cell_angle_alpha 63.57
_cell_angle_beta 63.99
_cell_angle_gamma 64.12
loop_
_symmetry_equiv_pos_as_xyz
'x,y,z'
loop_
_atom_site_label
_atom_site_type_symbol
_atom_site_fract_x
_atom_site_fract_y
_atom_site_fract_z
Li1 Li 0.000 0.000 0.000
Li2 Li 0.094 0.508 0.903
Li3 Li 0.503 0.700 0.299
Li4 Li 0.900 0.115 0.491
Fe1 Fe 0.100 0.703 0.493
Fe2 Fe 0.256 0.855 0.641
Fe3 Fe 0.395 0.003 0.788
Fe4 Fe 0.602 0.216 0.999
Fe5 Fe 0.740 0.360 0.146
Ni1 Ni 0.895 0.506 0.297
P1 P 0.196 0.108 0.188
P2 P 0.305 0.607 0.090
P3 P 0.502 0.400 0.600
P4 P 0.690 0.912 0.398
P5 P 0.801 0.814 0.899
P6 P 0.999 0.302 0.700
O1 O 0.002 0.263 0.210
O2 O 0.066 0.456 0.678
O3 O 0.143 0.543 0.123
O4 O 0.147 0.103 0.727
O5 O 0.184 0.959 0.383
O6 O 0.214 0.040 0.037
O7 O 0.283 0.669 0.245
O8 O 0.310 0.770 0.901
O9 O 0.356 0.597 0.579
O10 O 0.363 0.174 0.130
O11 O 0.424 0.246 0.643
O12 O 0.495 0.932 0.550
O13 O 0.499 0.454 0.066
O14 O 0.578 0.354 0.754
O15 O 0.634 0.870 0.833
O16 O 0.654 0.414 0.405
O17 O 0.683 0.102 0.236
O18 O 0.720 0.753 0.336
O19 O 0.780 0.964 0.968
O20 O 0.809 0.618 0.050
O21 O 0.846 0.886 0.465
O22 O 0.849 0.277 0.898
O23 O 0.938 0.333 0.541
O24 O 0.995 0.789 0.747
```

Top 10 peaks for 10° ≤ 2θ ≤ 90°, most intense first:
d [Å], intensity, hkl
4.456, 100.0, 0 1 -1
2.573, 66.1, -2 1 1
3.730, 39.2, 0 2 1
3.703, 38.3, 1 0 2
3.680, 38.3, 2 1 0
2.688, 36.4, 1 3 2
1.684, 33.6, 1 2 -3
2.651, 31.1, 3 2 1
2.673, 16.9, 2 1 3
2.663, 16.3, 2 3 1